(1)
Structure and theoretical XRD peak list of Cs2TiP2O8 (a structure optimized by DFT (GGA-PBE); λ = 1.5418 Å (Cu Kα)).
No peak broadening, texture or thermal motion is included.

Principal peaks in the range 2θ from 5° to 70°, most intense first:
2θ (°)	I_rel
24.6	100
22.9	93
29.0	61
30.7	39
27.4	32
25.6	23
39.5	23
24.1	22
30.5	17
46.9	17
39.4	16
41.7	15

Cell lengths 13.8204, 7.3792, 9.6471 Å; angles 90.00, 90.00, 90.00 degrees
Fractional positions:
Cs1 0.0842 0.2500 0.1273
Cs2 0.1026 0.7500 0.4085
Cs3 0.3974 0.2500 0.9085
Cs4 0.4158 0.7500 0.6273
Cs5 0.5842 0.2500 0.3727
Cs6 0.6026 0.7500 0.0915
Cs7 0.8974 0.2500 0.5915
Cs8 0.9158 0.7500 0.8727
Ti1 0.2087 0.7500 0.9830
Ti2 0.2913 0.2500 0.4830
Ti3 0.7087 0.7500 0.5170
Ti4 0.7913 0.2500 0.0170
P1 0.1537 0.0482 0.7255
P2 0.1537 0.4518 0.7255
P3 0.3463 0.5482 0.2255
P4 0.3463 0.9518 0.2255
P5 0.6537 0.0482 0.7745
P6 0.6537 0.4518 0.7745
P7 0.8463 0.5482 0.2745
P8 0.8463 0.9518 0.2745
O1 0.0528 0.5145 0.6949
O2 0.0528 0.9855 0.6949
O3 0.0977 0.7500 0.0517
O4 0.1516 0.2500 0.7970
O5 0.2099 0.5622 0.8352
O6 0.2099 0.9378 0.8352
O7 0.2180 0.0661 0.5947
O8 0.2180 0.4339 0.5947
O9 0.2820 0.5661 0.0947
O10 0.2820 0.9339 0.0947
O11 0.2901 0.0622 0.3352
O12 0.2901 0.4378 0.3352
O13 0.3484 0.7500 0.2970
O14 0.4023 0.2500 0.5517
O15 0.4472 0.0145 0.1949
O16 0.4472 0.4855 0.1949
O17 0.5528 0.5145 0.8051
O18 0.5528 0.9855 0.8051
O19 0.5977 0.7500 0.4483
O20 0.6516 0.2500 0.7030
O21 0.7099 0.5622 0.6648
O22 0.7099 0.9378 0.6648
O23 0.7180 0.0661 0.9053
O24 0.7180 0.4339 0.9053
O25 0.7820 0.5661 0.4053
O26 0.7820 0.9339 0.4053
O27 0.7901 0.0622 0.1648
O28 0.7901 0.4378 0.1648
O29 0.8484 0.7500 0.2030
O30 0.9023 0.2500 0.9483
O31 0.9472 0.0145 0.3051
O32 0.9472 0.4855 0.3051

***

(2)
Structure and theoretical XRD peak list of CsTiP2O7 (a structure optimized by DFT (GGA-PBE); λ = 1.5418 Å (Cu Kα)).
No peak broadening, texture or thermal motion is included.

Principal peaks in the range 2θ from 5° to 70°, most intense first:
2θ (°)	I_rel
28.9	100
28.7	80
28.3	58
27.8	48
23.4	44
24.8	32
28.0	30
21.9	27
23.5	25
36.5	21
49.5	17
56.5	17

Cell lengths 7.8749, 10.4030, 8.4494 Å; angles 90.00, 104.98, 90.00 degrees
Fractional positions:
Cs1 0.1993 0.1979 0.0464
Cs2 0.1993 0.3021 0.5464
Cs3 0.8007 0.6979 0.4536
Cs4 0.8007 0.8021 0.9536
Ti1 0.2404 0.6023 0.2578
Ti2 0.2404 0.8977 0.7578
Ti3 0.7596 0.1023 0.2422
Ti4 0.7596 0.3977 0.7422
P1 0.1300 0.5966 0.8307
P2 0.1300 0.9034 0.3307
P3 0.4248 0.6282 0.6817
P4 0.4248 0.8718 0.1817
P5 0.5752 0.1282 0.8183
P6 0.5752 0.3718 0.3183
P7 0.8700 0.0966 0.6693
P8 0.8700 0.4034 0.1693
O1 0.0104 0.0040 0.7630
O2 0.0104 0.4960 0.2630
O3 0.0908 0.7350 0.7689
O4 0.0908 0.7650 0.2689
O5 0.1610 0.5864 0.0162
O6 0.1610 0.9136 0.5162
O7 0.3139 0.5522 0.7923
O8 0.3139 0.9478 0.2923
O9 0.3227 0.6043 0.5030
O10 0.3227 0.8957 0.0030
O11 0.3928 0.0679 0.7730
O12 0.3928 0.4321 0.2730
O13 0.4343 0.7293 0.2293
O14 0.4343 0.7707 0.7293
O15 0.5657 0.2293 0.2707
O16 0.5657 0.2707 0.7707
O17 0.6072 0.5679 0.7270
O18 0.6072 0.9321 0.2270
O19 0.6773 0.1043 0.9970
O20 0.6773 0.3957 0.4970
O21 0.6861 0.0522 0.7077
O22 0.6861 0.4478 0.2077
O23 0.8390 0.0864 0.4838
O24 0.8390 0.4136 0.9838
O25 0.9092 0.2350 0.7311
O26 0.9092 0.2650 0.2311
O27 0.9896 0.5040 0.7370
O28 0.9896 0.9960 0.2370

***

(3)
Structure and theoretical XRD peak list of CsTmP2O7 (a structure optimized by DFT (GGA-PBE); λ = 1.5418 Å (Cu Kα)).
No peak broadening, texture or thermal motion is included.

Principal peaks in the range 2θ from 5° to 70°, most intense first:
2θ (°)	I_rel
28.1	100
27.1	60
27.7	59
23.2	36
19.3	34
15.6	32
26.6	29
22.6	27
31.7	24
20.9	23
48.8	23
43.6	21

Cell lengths 7.9433, 10.9372, 8.8178 Å; angles 90.00, 105.11, 90.00 degrees
Fractional positions:
Cs1 0.1876 0.1857 0.0552
Cs2 0.1876 0.3143 0.5552
Cs3 0.8124 0.6857 0.4448
Cs4 0.8124 0.8143 0.9448
Tm1 0.2384 0.5990 0.2577
Tm2 0.2384 0.9010 0.7577
Tm3 0.7616 0.0990 0.2423
Tm4 0.7616 0.4010 0.7423
P1 0.1341 0.5976 0.8273
P2 0.1341 0.9024 0.3273
P3 0.4297 0.6317 0.6888
P4 0.4297 0.8683 0.1888
P5 0.5703 0.1317 0.8112
P6 0.5703 0.3683 0.3112
P7 0.8659 0.0976 0.6727
P8 0.8659 0.4024 0.1727
O1 0.0039 0.5036 0.7330
O2 0.0039 0.9964 0.2330
O3 0.0884 0.7276 0.7626
O4 0.0884 0.7724 0.2626
O5 0.1537 0.5894 0.0026
O6 0.1537 0.9106 0.5026
O7 0.3234 0.5615 0.7998
O8 0.3234 0.9385 0.2998
O9 0.3290 0.6072 0.5188
O10 0.3290 0.8928 0.0188
O11 0.3895 0.0721 0.7675
O12 0.3895 0.4279 0.2675
O13 0.4412 0.7329 0.2355
O14 0.4412 0.7671 0.7355
O15 0.5588 0.2329 0.2645
O16 0.5588 0.2671 0.7645
O17 0.6105 0.5721 0.7325
O18 0.6105 0.9279 0.2325
O19 0.6710 0.1072 0.9812
O20 0.6710 0.3928 0.4812
O21 0.6766 0.0615 0.7002
O22 0.6766 0.4385 0.2002
O23 0.8463 0.0894 0.4974
O24 0.8463 0.4106 0.9974
O25 0.9116 0.2276 0.7374
O26 0.9116 0.2724 0.2374
O27 0.9961 0.0036 0.7670
O28 0.9961 0.4964 0.2670